# 1
Calculated XRD peak list
Compound: Y3Ni2
Radiation: a wavelength of 1.5418 Å
Structure: a structure optimized by DFT (PBE)

Main lines, in order of rising 2θ (5° ≤ 2θ ≤ 70°):
two_theta, intensity
28.4, 9
33.1, 37
33.7, 10
35.2, 100
37.8, 48
46.6, 17
55.6, 8
57.0, 10
61.5, 22
67.9, 11

Structure:
a b c (Å): 7.5303 7.5303 3.8972
angles (deg): 90.00 90.00 90.00
Fractional positions:
1 Y 0.0000 0.0000 0.0000
2 Y 0.1647 0.3353 0.5000
3 Y 0.3353 0.8353 0.5000
4 Y 0.5000 0.5000 0.0000
5 Y 0.6647 0.1647 0.5000
6 Y 0.8353 0.6647 0.5000
7 Ni 0.1227 0.6227 0.0000
8 Ni 0.3773 0.1227 0.0000
9 Ni 0.6227 0.8773 0.0000
10 Ni 0.8773 0.3773 0.0000

# 2
Calculated XRD peak list
Compound: Y2Ni17
Radiation: a wavelength of 1.5418 Å
Structure: a structure optimized by DFT (PBE)

Main lines, in order of rising 2θ (5° ≤ 2θ ≤ 70°):
two_theta, intensity
31.1, 15
37.7, 35
42.3, 45
43.8, 66
44.2, 100
45.4, 36
47.9, 12
49.7, 57
52.4, 13
64.9, 14

Structure:
a b c (Å): 8.2606 8.2606 7.9926
angles (deg): 90.00 90.00 120.00
Fractional positions:
1 Y 0.0000 0.0000 0.2500
2 Y 0.0000 0.0000 0.7500
3 Y 0.3333 0.6667 0.2500
4 Y 0.6667 0.3333 0.7500
5 Ni 0.0000 0.5000 0.0000
6 Ni 0.0000 0.5000 0.5000
7 Ni 0.0439 0.3718 0.7500
8 Ni 0.0439 0.6721 0.7500
9 Ni 0.1657 0.3314 0.0215
10 Ni 0.1657 0.3314 0.4785
11 Ni 0.1657 0.8343 0.0215
12 Ni 0.1657 0.8343 0.4785
13 Ni 0.3279 0.3718 0.7500
14 Ni 0.3279 0.9561 0.7500
15 Ni 0.3314 0.1657 0.5215
16 Ni 0.3314 0.1657 0.9785
17 Ni 0.3333 0.6667 0.6021
18 Ni 0.3333 0.6667 0.8979
19 Ni 0.3718 0.0439 0.2500
20 Ni 0.3718 0.3279 0.2500
21 Ni 0.5000 0.0000 0.0000
22 Ni 0.5000 0.0000 0.5000
23 Ni 0.5000 0.5000 0.0000
24 Ni 0.5000 0.5000 0.5000
25 Ni 0.6282 0.6721 0.7500
26 Ni 0.6282 0.9561 0.7500
27 Ni 0.6667 0.3333 0.1021
28 Ni 0.6667 0.3333 0.3979
29 Ni 0.6686 0.8343 0.0215
30 Ni 0.6686 0.8343 0.4785
31 Ni 0.6721 0.0439 0.2500
32 Ni 0.6721 0.6282 0.2500
33 Ni 0.8343 0.1657 0.5215
34 Ni 0.8343 0.1657 0.9785
35 Ni 0.8343 0.6686 0.5215
36 Ni 0.8343 0.6686 0.9785
37 Ni 0.9561 0.3279 0.2500
38 Ni 0.9561 0.6282 0.2500

# 3
Calculated XRD peak list
Compound: YNi13
Radiation: a wavelength of 1.5418 Å
Structure: a structure optimized by DFT (PBE)

Main lines, in order of rising 2θ (5° ≤ 2θ ≤ 70°):
two_theta, intensity
16.0, 15
36.2, 27
39.8, 65
48.5, 100
49.3, 27
52.1, 12
57.5, 7
60.1, 8
62.6, 9
69.9, 9

Structure:
a b c (Å): 7.8480 7.8480 7.8480
angles (deg): 60.00 60.00 60.00
Fractional positions:
1 Y 0.2500 0.2500 0.2500
2 Y 0.7500 0.7500 0.7500
3 Ni 0.0000 0.0000 0.0000
4 Ni 0.0626 0.2981 0.7019
5 Ni 0.0626 0.7019 0.9374
6 Ni 0.0626 0.9374 0.2981
7 Ni 0.2019 0.4374 0.7981
8 Ni 0.2019 0.5626 0.4374
9 Ni 0.2019 0.7981 0.5626
10 Ni 0.2981 0.0626 0.9374
11 Ni 0.2981 0.7019 0.0626
12 Ni 0.2981 0.9374 0.7019
13 Ni 0.4374 0.2019 0.5626
14 Ni 0.4374 0.5626 0.7981
15 Ni 0.4374 0.7981 0.2019
16 Ni 0.5000 0.5000 0.5000
17 Ni 0.5626 0.2019 0.7981
18 Ni 0.5626 0.4374 0.2019
19 Ni 0.5626 0.7981 0.4374
20 Ni 0.7019 0.0626 0.2981
21 Ni 0.7019 0.2981 0.9374
22 Ni 0.7019 0.9374 0.0626
23 Ni 0.7981 0.2019 0.4374
24 Ni 0.7981 0.4374 0.5626
25 Ni 0.7981 0.5626 0.2019
26 Ni 0.9374 0.0626 0.7019
27 Ni 0.9374 0.2981 0.0626
28 Ni 0.9374 0.7019 0.2981

# 4
Calculated XRD peak list
Compound: Y3Ni2
Radiation: a wavelength of 1.5418 Å
Structure: a structure optimized by DFT (PBE)

Main lines, in order of rising 2θ (5° ≤ 2θ ≤ 70°):
two_theta, intensity
18.1, 10
29.3, 11
30.4, 100
32.3, 28
39.9, 53
42.4, 11
46.8, 37
52.6, 20
56.8, 11
63.2, 9

Structure:
a b c (Å): 7.2312 7.2312 7.2312
angles (deg): 55.37 55.37 55.37
Fractional positions:
1 Y 0.1250 0.7500 0.3750
2 Y 0.2500 0.6250 0.8750
3 Y 0.3750 0.1250 0.7500
4 Y 0.6250 0.8750 0.2500
5 Y 0.7500 0.3750 0.1250
6 Y 0.8750 0.2500 0.6250
7 Ni 0.1840 0.1840 0.1840
8 Ni 0.3160 0.3160 0.3160
9 Ni 0.6840 0.6840 0.6840
10 Ni 0.8160 0.8160 0.8160

- Number 2 is which compound?
  Y2Ni17

- What is the formula in the first record?
  Y3Ni2